Simulated X-ray diffraction stick pattern
Compound: NaNbGaP3O12
Radiation: Cu Kα (λ = 1.5418 Å)
Structure: a structure optimized by DFT (GGA-PBE)
No peak broadening, texture or thermal motion is included.

Peak list (6 most intense, 10° ≤ 2θ ≤ 80°, low angle first)
2theta  d [Å]  I (rel.)  hkl
19.7  4.507  76  1 0 4
20.5  4.332  100  1 1 0
23.7  3.753  99  1 1 3
28.6  3.123  56  0 2 4
31.5  2.839  91  1 1 6
35.9  2.501  38  3 0 0

Crystal structure
```
data_NaNbGaP3O12
_chemical_formula_sum 'Na6 Nb6 Ga6 P18 O72'
_cell_length_a 8.6647
_cell_length_b 8.6647
_cell_length_c 22.5466
_cell_angle_alpha 90.00
_cell_angle_beta 90.00
_cell_angle_gamma 120.00
_space_group_name_H-M_alt 'R 3 c'
_space_group_IT_number 161
_space_group_name_Hall 'R 3 -2"c'
loop_
_atom_site_label
_atom_site_fract_x
_atom_site_fract_y
_atom_site_fract_z
Na1 0.0000 0.0000 0.0000
Nb1 0.0000 0.0000 0.1486
Ga1 0.0000 0.0000 0.3557
P1 0.0493 0.3740 0.4216
O1 0.0235 0.1891 0.4129
O2 0.0302 0.2019 0.6985
O3 0.1602 0.4602 0.4766
O4 0.1653 0.4722 0.7608
```